Diffraction record for Dy3HoRu3. The X-ray diffraction stick pattern is calculated, not measured: it uses a GGA-PBE-relaxed structure and Cu Kα, 1.54184 Å.
Peak positions follow from Bragg's law for the DFT cell and can differ from measured ones.

Largest 6 diffraction maxima, sorted by position, 10 to 80 degrees two-theta:
2θ (°)  d_spacing  I (rel.)  h k l
32.59  2.747  56  2 1 1
37.81  2.379  100  2 2 0
50.76  1.799  14  1 1 3
58.16  1.586  29  0 3 3
68.28  1.374  17  6 0 0
71.49  1.320  17  4 1 3

Crystal structure
Unit cell a=9.5135 b=9.5135 c=5.8317 alpha=90.00 beta=90.00 gamma=120.00
Space group R3m (No. 160, hexagonal axes)
Unique sites:
Dy1 0.1954 0.3907 0.0000
Ho1 0.0000 0.0000 0.7811
Ru1 0.0000 0.5000 0.1957

Diffraction record for Pr11Er9Sc4. The X-ray diffraction stick pattern is calculated, not measured: it uses a GGA-PBE-relaxed structure and Cu Kα, 1.54184 Å.
Peak positions follow from Bragg's law for the DFT cell and can differ from measured ones.

Largest 6 diffraction maxima, sorted by position, 10 to 80 degrees two-theta:
2θ (°)  d_spacing  I (rel.)  h k l
29.84  2.994  84  4 6 0
30.80  2.903  33  1 5 1
31.26  2.861  31  3 3 1
32.55  2.751  100  0 6 1
32.65  2.743  79  4 0 1
59.83  1.546  29  4 6 2

Crystal structure
Unit cell a=16.8669 b=25.5156 c=3.6104 alpha=90.00 beta=90.00 gamma=90.00
Space group Cmmm (No. 65)
Unique sites:
Pr1 0.0000 0.0000 0.0000
Pr2 0.0000 0.1594 0.0000
Pr3 0.0000 0.3704 0.0000
Pr4 0.2014 0.5000 0.0000
Pr5 0.2256 0.1802 0.0000
Er1 0.0000 0.5000 0.5000
Er2 0.1020 0.2691 0.5000
Er3 0.1455 0.0716 0.5000
Sc1 0.1566 0.3978 0.5000

Diffraction record for Pm4SiAsSe2. The X-ray diffraction stick pattern is calculated, not measured: it uses a GGA-PBE-relaxed structure and Cu Kα, 1.54184 Å.
Peak positions follow from Bragg's law for the DFT cell and can differ from measured ones.

Largest 6 diffraction maxima, sorted by position, 10 to 80 degrees two-theta:
2θ (°)  d_spacing  I (rel.)  h k l
29.85  2.993  100  1 1 1
42.67  2.119  37  2 0 2
42.79  2.113  37  0 2 0
53.05  1.726  20  4 0 0
70.25  1.340  16  3 1 3
70.43  1.337  17  1 3 1

Crystal structure
Unit cell a=7.3224 b=4.2259 c=7.3447 alpha=90.00 beta=109.34 gamma=90.00
Space group P2/m (No. 10)
Unique sites:
Pm1 0.2433 0.0000 0.2385
Pm2 0.2506 0.5000 0.7619
Si1 0.0000 0.5000 0.0000
As1 0.5000 0.0000 0.0000
Se1 0.0000 0.0000 0.5000
Se2 0.5000 0.5000 0.5000